Li7Mn5O12: calculated powder X-ray diffraction pattern (Cu Kα X-rays), based on a cell relaxed with GGA+U.
No peak broadening, texture or thermal motion is included.

Structural model:
Unit cell a=8.128 b=2.982 c=9.850 alpha=90.00 beta=113.92 gamma=90.00
Space group P2/m (No. 10)
One atom of each set of equivalent atoms:
Li (0.000, 0.000, 0.000)
Li (0.000, 0.500, 0.500)
Li (0.160, 0.000, 0.321)
Li (0.309, 0.500, 0.158)
Li (0.500, 0.000, 0.000)
Mn (0.162, 0.500, 0.840)
Mn (0.336, 0.000, 0.668)
Mn (0.500, 0.500, 0.500)
O (0.068, 0.500, 0.171)
O (0.104, 0.000, 0.682)
O (0.241, 0.000, 0.981)
O (0.262, 0.500, 0.510)
O (0.405, 0.500, 0.826)
O (0.433, 0.000, 0.347)

Peak list (6 most intense, 2θ = 10–80°, in order of rising 2θ)
| two_theta | Rel. int. |
| --- | --- |
| 18.30 | 100.0 |
| 35.41 | 27.5 |
| 42.74 | 62.9 |
| 44.59 | 26.8 |
| 63.28 | 15.3 |
| 63.67 | 15.5 |